[1]
LaNd3Cr4O12: theoretical powder X-ray diffraction pattern (copper Kα), based on a crystal structure in the Materials Project, relaxed with PBE+U.
Neutral-atom scattering factors, no anomalous dispersion.

Atomic structure:
a = 5.5044 Å, b = 7.8444 Å, c = 5.6059 Å
α = 90.00°, β = 90.03°, γ = 90.00°
Space group Pm (No. 6)
Unique sites:
La  0.0000  0.0000  0.0000 (multiplicity 1)
Nd  0.0197  0.5000  0.0898 (multiplicity 1)
Nd  0.4981  0.5000  0.5882 (multiplicity 1)
Nd  0.5193  0.0000  0.4928 (multiplicity 1)
Cr  0.0079  0.2508  0.5414 (multiplicity 2)
Cr  0.5087  0.2512  0.0399 (multiplicity 2)
O  0.0961  0.0000  0.5591 (multiplicity 1)
O  0.2151  0.2979  0.8328 (multiplicity 2)
O  0.3007  0.2968  0.3320 (multiplicity 2)
O  0.4286  0.0000  0.0647 (multiplicity 1)
O  0.5967  0.5000  0.0156 (multiplicity 1)
O  0.7118  0.2059  0.7447 (multiplicity 2)
O  0.8000  0.2066  0.2494 (multiplicity 2)
O  0.9210  0.5000  0.5165 (multiplicity 1)

Largest 10 diffraction maxima, low angle first, 10 to 90 degrees two-theta:
d_spacing, 2theta, Rel. int., hkl
3.926, 22.65, 30, 0 2 0
2.803, 31.93, 22, 0 0 2
2.775, 32.26, 100, 1 2 1
2.752, 32.53, 25, 2 0 0
2.253, 40.02, 13, 2 2 0
1.963, 46.25, 39, 0 4 0
1.613, 57.11, 12, 1 2 3
1.597, 57.72, 11, 2 4 0
1.593, 57.87, 22, 3 2 1
1.388, 67.50, 13, 2 4 2



[2]
Li5Co3O8: theoretical powder X-ray diffraction pattern (copper Kα), based on a crystal structure in the Materials Project, relaxed with PBE+U.
Neutral-atom scattering factors, no anomalous dispersion.

Atomic structure:
a = 2.9814 Å, b = 5.0833 Å, c = 9.8792 Å
α = 101.49°, β = 91.34°, γ = 105.08°
Space group P-1 (No. 2)
Unique sites:
Li  0.0000  0.0000  0.0000 (multiplicity 1)
Li  0.2511  0.5084  0.8744 (multiplicity 2)
Li  0.2534  0.4964  0.3736 (multiplicity 2)
Co  0.0000  0.0000  0.5000 (multiplicity 1)
Co  0.4984  0.0008  0.7597 (multiplicity 2)
O  0.1423  0.2274  0.1920 (multiplicity 2)
O  0.1451  0.2284  0.6819 (multiplicity 2)
O  0.3813  0.7632  0.0814 (multiplicity 2)
O  0.3943  0.7758  0.5732 (multiplicity 2)

Largest 10 diffraction maxima, low angle first, 10 to 90 degrees two-theta:
d_spacing, 2theta, Rel. int., hkl
4.825, 18.39, 12, 0 0 2
4.796, 18.50, 100, 0 1 0
2.557, 35.09, 19, 1 0 -2
2.487, 36.12, 13, 1 -1 2
2.413, 37.27, 9, 0 0 4
2.145, 42.12, 37, 1 1 -2
2.065, 43.84, 31, 1 -2 2
1.992, 45.54, 26, 0 1 4
1.490, 62.33, 9, 2 -1 0
1.486, 62.50, 9, 0 3 -4



[3]
LiVCrP2H2O10: theoretical powder X-ray diffraction pattern (copper Kα), based on a crystal structure in the Materials Project, relaxed with PBE+U.
Neutral-atom scattering factors, no anomalous dispersion.

Atomic structure:
a = 5.2082 Å, b = 7.3677 Å, c = 10.4712 Å
α = 104.87°, β = 96.63°, γ = 109.77°
Space group P-1 (No. 2)
Unique sites:
Li  0.0756  0.1477  0.2924 (multiplicity 2)
V  0.0000  0.5000  0.0000 (multiplicity 1)
V  0.5000  0.0000  0.5000 (multiplicity 1)
Cr  0.0000  0.0000  0.0000 (multiplicity 1)
Cr  0.5000  0.5000  0.5000 (multiplicity 1)
P  0.0012  0.4536  0.6765 (multiplicity 2)
P  0.4972  0.9459  0.1753 (multiplicity 2)
H  0.1768  0.1852  0.5319 (multiplicity 2)
H  0.3357  0.3244  0.9868 (multiplicity 2)
O  0.1003  0.4795  0.8275 (multiplicity 2)
O  0.1379  0.7821  0.4039 (multiplicity 2)
O  0.1558  0.2965  0.0153 (multiplicity 2)
O  0.2113  0.4453  0.3370 (multiplicity 2)
O  0.2433  0.9448  0.8736 (multiplicity 2)
O  0.2529  0.5495  0.6212 (multiplicity 2)
O  0.2758  0.0395  0.1662 (multiplicity 2)
O  0.3229  0.1964  0.4784 (multiplicity 2)
O  0.3774  0.7152  0.0941 (multiplicity 2)
O  0.3833  0.0178  0.6716 (multiplicity 2)

Largest 10 diffraction maxima, low angle first, 10 to 90 degrees two-theta:
d_spacing, 2theta, Rel. int., hkl
4.934, 17.98, 50, 0 0 2
4.849, 18.30, 50, 1 -1 0
4.733, 18.75, 57, 1 0 -1
3.471, 25.66, 32, 1 -1 2
3.404, 26.18, 32, 0 1 -3
3.377, 26.39, 64, 1 -2 1
3.289, 27.11, 100, 0 2 0
3.044, 29.34, 79, 1 0 -3
2.465, 36.44, 34, 1 0 3
1.644, 55.91, 28, 0 0 6



[4]
Mg3Fe2O5: theoretical powder X-ray diffraction pattern (copper Kα), based on a crystal structure in the Materials Project, relaxed with PBE+U.
Neutral-atom scattering factors, no anomalous dispersion.

Atomic structure:
a = 4.2215 Å, b = 5.3050 Å, c = 5.3091 Å
α = 81.10°, β = 66.72°, γ = 66.62°
Space group P-1 (No. 2)
Unique sites:
Mg  0.0000  0.0000  0.0000 (multiplicity 1)
Mg  0.4005  0.3928  0.8058 (multiplicity 2)
Fe  0.1966  0.2058  0.4013 (multiplicity 2)
O  0.1031  0.6096  0.1847 (multiplicity 2)
O  0.3052  0.7880  0.6018 (multiplicity 2)
O  0.5000  0.0000  0.0000 (multiplicity 1)

Largest 10 diffraction maxima, low angle first, 10 to 90 degrees two-theta:
d_spacing, 2theta, Rel. int., hkl
4.876, 18.19, 15, 0 0 1
3.601, 24.73, 18, 1 1 0
2.491, 36.06, 43, 1 0 2
2.485, 36.15, 13, 1 2 1
2.179, 41.43, 100, 0 1 2
2.111, 42.84, 44, 2 1 1
1.543, 59.94, 14, 0 1 -3
1.539, 60.12, 14, 0 3 1
1.517, 61.08, 40, 2 0 -1
1.514, 61.24, 13, 2 2 3